This entry pairs a crystal structure of Ce2Ho5Ir4 with its calculated XRD peak list. Radiation: Cu Kα X-rays. Structure: a DFT-relaxed cell (GGA-PBE, Alexandria).
Intensities are scaled so that the largest is 100.

Most intense lines, 2θ from 10° to 90°, in order of falling intensity:
Position (°2θ)  d [Å]  I_rel  (hkl)
33.81  2.651  100  3 1 -2
33.43  2.680  53  1 1 -2
41.20  2.191  50  7 1 -2
46.34  1.959  43  0 2 0
39.59  2.276  38  3 1 2
34.25  2.618  34  8 0 -1
27.02  3.300  33  1 1 1
26.72  3.337  29  6 0 0
44.08  2.054  28  7 1 1
49.27  1.849  27  4 0 -4

Cell: 20.980 3.918 7.410 Å, 90.00 107.39 90.00°
Space group C2/m (No. 12)
One atom of each set of equivalent atoms:
Ce 0.069 0.000 0.094 x4
Ho 0.000 0.000 0.500 x2
Ho 0.176 0.500 0.928 x4
Ho 0.177 0.500 0.448 x4
Ir 0.026 0.500 0.805 x4
Ir 0.209 0.000 0.218 x4